1.
Computed powder diffractogram of NpBeGaO6 for Cu Kα, from a structure optimized by DFT (PBE).
Neutral-atom scattering factors, no anomalous dispersion.

Top 12 peaks for 2θ from 10° to 80°, in order of falling intensity:
2θ 22.99, rel. 100; 2θ 28.98, rel. 60; 2θ 37.01, rel. 34; 2θ 55.71, rel. 33; 2θ 36.14, rel. 31; 2θ 43.27, rel. 23; 2θ 41.71, rel. 20; 2θ 57.61, rel. 19; 2θ 20.12, rel. 19; 2θ 46.97, rel. 16; 2θ 60.67, rel. 15; 2θ 65.57, rel. 13

Structural model:
```
data_NpBeGaO6
_chemical_formula_sum 'Np2 Be2 Ga2 O12'
_symmetry_space_group_name_H-M 'P 1'
_symmetry_Int_Tables_number 1
_cell_length_a 4.9704
_cell_length_b 4.9704
_cell_length_c 8.8247
_cell_angle_alpha 90.00
_cell_angle_beta 90.00
_cell_angle_gamma 120.00
loop_
_symmetry_equiv_pos_as_xyz
'x,y,z'
loop_
_atom_site_label
_atom_site_type_symbol
_atom_site_fract_x
_atom_site_fract_y
_atom_site_fract_z
Np1 Np 0.3333 0.6667 0.2500
Np2 Np 0.6667 0.3333 0.7500
Be1 Be 0.3333 0.6667 0.7500
Be2 Be 0.6667 0.3333 0.2500
Ga1 Ga 0.0000 0.0000 0.0000
Ga2 Ga 0.0000 0.0000 0.5000
O1 O 0.0222 0.3484 0.6313
O2 O 0.0222 0.6738 0.8687
O3 O 0.3262 0.3484 0.8687
O4 O 0.3262 0.9778 0.6313
O5 O 0.3484 0.0222 0.1313
O6 O 0.3484 0.3262 0.3687
O7 O 0.6516 0.6738 0.6313
O8 O 0.6516 0.9778 0.8687
O9 O 0.6738 0.0222 0.3687
O10 O 0.6738 0.6516 0.1313
O11 O 0.9778 0.3262 0.1313
O12 O 0.9778 0.6516 0.3687
```

---

2.
Computed powder diffractogram of Tl7Cd2Hg2Pb for Cu Kα, from a structure optimized by DFT (PBE).
Neutral-atom scattering factors, no anomalous dispersion.

Top 12 peaks for 2θ from 10° to 80°, in order of falling intensity:
2θ 32.04, rel. 100; 2θ 32.35, rel. 96; 2θ 34.29, rel. 88; 2θ 49.28, rel. 32; 2θ 42.91, rel. 19; 2θ 56.06, rel. 18; 2θ 59.78, rel. 17; 2θ 60.03, rel. 17; 2θ 60.22, rel. 17; 2θ 60.35, rel. 16; 2θ 72.17, rel. 11; 2θ 67.01, rel. 11

Structural model:
```
data_Tl7Cd2Hg2Pb
_chemical_formula_sum 'Tl7 Cd2 Hg2 Pb1'
_symmetry_space_group_name_H-M 'P 1'
_symmetry_Int_Tables_number 1
_cell_length_a 13.1436
_cell_length_b 13.1436
_cell_length_c 5.2339
_cell_angle_alpha 100.73
_cell_angle_beta 100.73
_cell_angle_gamma 22.94
loop_
_symmetry_equiv_pos_as_xyz
'x,y,z'
loop_
_atom_site_label
_atom_site_type_symbol
_atom_site_fract_x
_atom_site_fract_y
_atom_site_fract_z
Tl1 Tl 0.0000 0.0000 0.0000
Tl2 Tl 0.2364 0.2364 0.7479
Tl3 Tl 0.3226 0.3226 0.3300
Tl4 Tl 0.4999 0.4999 0.4994
Tl5 Tl 0.5862 0.5862 0.0823
Tl6 Tl 0.8226 0.8226 0.8303
Tl7 Tl 0.9113 0.9113 0.4151
Cd1 Cd 0.1613 0.1613 0.1721
Cd2 Cd 0.6612 0.6612 0.6586
Hg1 Hg 0.0873 0.0873 0.5929
Hg2 Hg 0.7353 0.7353 0.2380
Pb1 Pb 0.4113 0.4113 0.9143
```

---

3.
Computed powder diffractogram of TaCuPt3 for Cu Kα, from a structure optimized by DFT (PBE).
Neutral-atom scattering factors, no anomalous dispersion.

Top 12 peaks for 2θ from 10° to 80°, in order of falling intensity:
2θ 43.76, rel. 100; 2θ 40.46, rel. 64; 2θ 40.92, rel. 40; 2θ 35.02, rel. 39; 2θ 54.93, rel. 22; 2θ 76.49, rel. 20; 2θ 66.93, rel. 18; 2θ 21.28, rel. 16; 2θ 41.95, rel. 11; 2θ 74.20, rel. 11; 2θ 67.05, rel. 9; 2θ 60.04, rel. 8

Structural model:
```
data_TaCuPt3
_chemical_formula_sum 'Ta2 Cu2 Pt6'
_symmetry_space_group_name_H-M 'P 1'
_symmetry_Int_Tables_number 1
_cell_length_a 6.8264
_cell_length_b 6.8264
_cell_length_c 5.5830
_cell_angle_alpha 90.00
_cell_angle_beta 90.00
_cell_angle_gamma 142.30
loop_
_symmetry_equiv_pos_as_xyz
'x,y,z'
loop_
_atom_site_label
_atom_site_type_symbol
_atom_site_fract_x
_atom_site_fract_y
_atom_site_fract_z
Ta1 Ta 0.1216 0.8784 0.7500
Ta2 Ta 0.8784 0.1216 0.2500
Cu1 Cu 0.1252 0.8748 0.2500
Cu2 Cu 0.8748 0.1252 0.7500
Pt1 Pt 0.3136 0.6864 0.5042
Pt2 Pt 0.3136 0.6864 0.9958
Pt3 Pt 0.4988 0.5012 0.7500
Pt4 Pt 0.5012 0.4988 0.2500
Pt5 Pt 0.6864 0.3136 0.0042
Pt6 Pt 0.6864 0.3136 0.4958
```

---

4.
Computed powder diffractogram of Ac3Pd3Pt for Cu Kα, from a structure optimized by DFT (PBE).
Neutral-atom scattering factors, no anomalous dispersion.

Top 12 peaks for 2θ from 10° to 80°, in order of falling intensity:
2θ 30.52, rel. 100; 2θ 31.05, rel. 39; 2θ 40.04, rel. 28; 2θ 39.89, rel. 27; 2θ 37.35, rel. 27; 2θ 43.42, rel. 22; 2θ 34.36, rel. 21; 2θ 51.39, rel. 19; 2θ 23.81, rel. 17; 2θ 26.86, rel. 17; 2θ 60.42, rel. 16; 2θ 58.57, rel. 15

Structural model:
```
data_Ac3Pd3Pt
_chemical_formula_sum 'Ac6 Pd6 Pt2'
_symmetry_space_group_name_H-M 'P 1'
_symmetry_Int_Tables_number 1
_cell_length_a 4.1685
_cell_length_b 4.5203
_cell_length_c 19.9165
_cell_angle_alpha 90.00
_cell_angle_beta 90.00
_cell_angle_gamma 90.00
loop_
_symmetry_equiv_pos_as_xyz
'x,y,z'
loop_
_atom_site_label
_atom_site_type_symbol
_atom_site_fract_x
_atom_site_fract_y
_atom_site_fract_z
Ac1 Ac 0.0000 0.0000 0.0000
Ac2 Ac 0.0000 0.0000 0.3627
Ac3 Ac 0.0000 0.5000 0.1846
Ac4 Ac 0.5000 0.0000 0.6846
Ac5 Ac 0.5000 0.5000 0.5000
Ac6 Ac 0.5000 0.5000 0.8627
Pd1 Pd 0.0000 0.0000 0.5270
Pd2 Pd 0.0000 0.0000 0.8365
Pd3 Pd 0.0000 0.5000 0.6130
Pd4 Pd 0.5000 0.0000 0.1130
Pd5 Pd 0.5000 0.5000 0.0270
Pd6 Pd 0.5000 0.5000 0.3365
Pt1 Pt 0.0000 0.5000 0.7479
Pt2 Pt 0.5000 0.0000 0.2479
```

---

5.
Computed powder diffractogram of Hf5Ir3 for Cu Kα, from a structure optimized by DFT (PBE).
Neutral-atom scattering factors, no anomalous dispersion.

Top 12 peaks for 2θ from 10° to 80°, in order of falling intensity:
2θ 38.16, rel. 100; 2θ 39.72, rel. 67; 2θ 39.17, rel. 37; 2θ 61.65, rel. 32; 2θ 34.39, rel. 29; 2θ 32.42, rel. 19; 2θ 77.29, rel. 18; 2θ 50.47, rel. 15; 2θ 67.90, rel. 14; 2θ 57.01, rel. 14; 2θ 35.00, rel. 11; 2θ 63.60, rel. 10

Structural model:
```
data_Hf5Ir3
_chemical_formula_sum 'Hf10 Ir6'
_symmetry_space_group_name_H-M 'P 1'
_symmetry_Int_Tables_number 1
_cell_length_a 7.9675
_cell_length_b 7.9675
_cell_length_c 5.5229
_cell_angle_alpha 90.00
_cell_angle_beta 90.00
_cell_angle_gamma 120.00
loop_
_symmetry_equiv_pos_as_xyz
'x,y,z'
loop_
_atom_site_label
_atom_site_type_symbol
_atom_site_fract_x
_atom_site_fract_y
_atom_site_fract_z
Hf1 Hf 0.0000 0.2404 0.2500
Hf2 Hf 0.0000 0.7596 0.7500
Hf3 Hf 0.2404 0.0000 0.2500
Hf4 Hf 0.2404 0.2404 0.7500
Hf5 Hf 0.3333 0.6667 0.0000
Hf6 Hf 0.3333 0.6667 0.5000
Hf7 Hf 0.6667 0.3333 0.0000
Hf8 Hf 0.6667 0.3333 0.5000
Hf9 Hf 0.7596 0.0000 0.7500
Hf10 Hf 0.7596 0.7596 0.2500
Ir1 Ir 0.0000 0.3984 0.7500
Ir2 Ir 0.0000 0.6016 0.2500
Ir3 Ir 0.3984 0.0000 0.7500
Ir4 Ir 0.3984 0.3984 0.2500
Ir5 Ir 0.6016 0.0000 0.2500
Ir6 Ir 0.6016 0.6016 0.7500
```

---

6.
Computed powder diffractogram of Nd2CdBr for Cu Kα, from a structure optimized by DFT (PBE).
Neutral-atom scattering factors, no anomalous dispersion.

Top 12 peaks for 2θ from 10° to 80°, in order of falling intensity:
2θ 31.52, rel. 100; 2θ 35.06, rel. 67; 2θ 48.45, rel. 42; 2θ 62.63, rel. 39; 2θ 37.19, rel. 37; 2θ 28.11, rel. 29; 2θ 27.59, rel. 19; 2θ 30.10, rel. 18; 2θ 58.96, rel. 16; 2θ 61.35, rel. 16; 2θ 79.70, rel. 14; 2θ 41.72, rel. 14

Structural model:
```
data_Nd2CdBr
_chemical_formula_sum 'Nd6 Cd3 Br3'
_symmetry_space_group_name_H-M 'P 1'
_symmetry_Int_Tables_number 1
_cell_length_a 3.7573
_cell_length_b 3.7573
_cell_length_c 29.0041
_cell_angle_alpha 90.00
_cell_angle_beta 90.00
_cell_angle_gamma 120.00
loop_
_symmetry_equiv_pos_as_xyz
'x,y,z'
loop_
_atom_site_label
_atom_site_type_symbol
_atom_site_fract_x
_atom_site_fract_y
_atom_site_fract_z
Nd1 Nd 0.0000 0.0000 0.0000
Nd2 Nd 0.0000 0.0000 0.1709
Nd3 Nd 0.3333 0.6667 0.6667
Nd4 Nd 0.3333 0.6667 0.8376
Nd5 Nd 0.6667 0.3333 0.3333
Nd6 Nd 0.6667 0.3333 0.5043
Cd1 Cd 0.0000 0.0000 0.4190
Cd2 Cd 0.3333 0.6667 0.0856
Cd3 Cd 0.6667 0.3333 0.7523
Br1 Br 0.0000 0.0000 0.5850
Br2 Br 0.3333 0.6667 0.2517
Br3 Br 0.6667 0.3333 0.9183
```

---

Which formula does entry 6 have?
Nd2CdBr